Record 1
The following is a computed X-ray diffraction stick pattern of Ge2Sb2Te5. It was derived from a crystal structure in the Materials Project, relaxed with GGA-PBE, using Cu Ka.
Lines closer than 0.1° are merged.

Crystal structure
Lattice parameters (Å, degrees): 4.2941 4.2941 17.1013 90.00 90.00 120.00
Space group P-3m1 (No. 164)
Unique sites:
Ge (0.3333, 0.6667, 0.3971) x2
Sb (0.0000, 0.0000, 0.1799) x2
Te (0.0000, 0.0000, 0.5000) x1
Te (0.3333, 0.6667, 0.0801) x2
Te (0.3333, 0.6667, 0.7015) x2

Main lines, by angle (2θ = 10–80°):
index	2θ (°)	I (rel.)
0 0 5	26.11	11
1 0 3	28.66	100
0 1 6	39.85	30
1 1 0	42.09	39
0 1 7	44.37	8
0 2 3	51.71	19
2 0 6	59.34	9
2 1 3	68.79	16
1 2 6	75.41	9
3 0 0	76.89	11

***

Record 2
The following is a computed X-ray diffraction stick pattern of Rb2PrO3. It was derived from a crystal structure in the Materials Project, relaxed with GGA-PBE, using Cu Ka.
Lines closer than 0.1° are merged.

Crystal structure
Lattice parameters (Å, degrees): 11.465 7.538 6.581 90.00 90.00 90.00
Space group Cmc2_1 (No. 36)
Unique sites:
Rb (0.168, 0.145, 0.000) x8
Pr (0.000, 0.398, 0.471) x4
O (0.000, 0.109, 0.405) x4
O (0.131, 0.483, 0.732) x8

Main lines, by angle (2θ = 10–80°):
index	2θ (°)	I (rel.)
1 1 0	14.06	28
3 1 0	26.14	41
0 0 2	27.10	47
0 2 1	27.27	96
3 1 1	29.51	100
3 1 2	38.01	52
3 3 1	45.34	26
0 2 3	47.98	21
3 1 3	49.41	20
6 0 2	55.68	41

***

Record 3
The following is a computed X-ray diffraction stick pattern of Pm2IrPd. It was derived from a crystal structure in the Materials Project, relaxed with GGA-PBE, using Cu Ka.
Lines closer than 0.1° are merged.

Crystal structure
Lattice parameters (Å, degrees): 7.110 7.110 7.110 90.00 90.00 90.00
Space group Fm-3m (No. 225)
Unique sites:
Pm (0.250, 0.250, 0.250) x8
Ir (0.000, 0.000, 0.000) x4
Pd (0.000, 0.000, 0.500) x4

Main lines, by angle (2θ = 10–80°):
index	2θ (°)	I (rel.)
1 1 1	21.65	4
2 2 0	35.72	100
3 1 1	42.15	2
4 0 0	51.41	18
3 3 1	56.41	1
4 2 2	64.17	36
5 1 1	68.58	1
4 4 0	75.67	11
5 3 1	79.80	1

***

Record 4
The following is a computed X-ray diffraction stick pattern of NdTlAg2. It was derived from a crystal structure in the Materials Project, relaxed with GGA-PBE, using Cu Ka.
Lines closer than 0.1° are merged.

Crystal structure
Lattice parameters (Å, degrees): 7.214 7.214 7.214 90.00 90.00 90.00
Space group Fm-3m (No. 225)
Unique sites:
Nd (0.000, 0.000, 0.000) x4
Tl (0.000, 0.000, 0.500) x4
Ag (0.250, 0.250, 0.250) x8

Main lines, by angle (2θ = 10–80°):
index	2θ (°)	I (rel.)
1 1 1	21.33	2
2 0 0	24.68	5
2 2 0	35.19	100
3 1 1	41.52	1
2 2 2	43.45	2
4 0 0	50.61	18
4 2 0	57.10	3
4 2 2	63.14	36
4 4 0	74.39	11
6 0 0	79.76	1

***

Record 5
The following is a computed X-ray diffraction stick pattern of ErH3. It was derived from a crystal structure in the Materials Project, relaxed with GGA-PBE, using Cu Ka.
Lines closer than 0.1° are merged.

Crystal structure
Lattice parameters (Å, degrees): 5.092 5.092 5.092 90.00 90.00 90.00
Space group Fm-3m (No. 225)
Unique sites:
Er (0.000, 0.000, 0.000) x4
H (0.000, 0.000, 0.500) x4
H (0.250, 0.250, 0.250) x8

Main lines, by angle (2θ = 10–80°):
index	2θ (°)	I (rel.)
1 1 1	30.40	100
2 0 0	35.25	51
2 2 0	50.70	38
3 1 1	60.28	44
2 2 2	63.26	13
4 0 0	74.53	6